Theoretical PXRD pattern
Compound: CsSrVF6
Radiation: Cu Kα (λ = 1.5418 Å)
Structure: the GGA+U geometry in Alexandria
Intensities are scaled so that the largest is 100.

Main lines, in order of rising 2θ (15° ≤ 2θ ≤ 90°):
- 2θ = 23.10°, I = 61.2
- 2θ = 26.08°, I = 100.0
- 2θ = 26.75°, I = 76.6
- 2θ = 27.62°, I = 67.2
- 2θ = 28.49°, I = 37.8
- 2θ = 42.00°, I = 32.6
- 2θ = 42.16°, I = 34.0
- 2θ = 44.45°, I = 38.1
- 2θ = 47.20°, I = 63.1
- 2θ = 64.63°, I = 27.7

Structural model:
```
18
Lattice="-3.8919 4.0770 5.2787 3.8919 -4.0770 5.2787 3.8919 4.0770 -5.2787" Properties=species:S:1:pos:R:3 pbc="T T T"
Cs 0.0000 2.0385 1.0685
Cs 3.8919 2.0385 4.2103
Sr 3.8919 0.0000 0.0000
Sr 0.0000 0.0000 5.2787
V 1.9460 2.0385 -2.6394
V 1.9460 -2.0385 2.6394
F 1.7551 -0.6588 1.2755
F 6.0288 -0.6588 1.2755
F 3.8919 2.0385 -2.0278
F 1.7551 3.4182 -1.2755
F 2.1368 -0.6588 4.0032
F 3.8919 2.0385 1.2162
F 0.0000 2.0385 4.0625
F 1.7551 4.7359 1.2755
F 2.1368 0.6588 6.5542
F 0.0000 2.0385 7.3065
F -2.1368 4.7359 4.0032
F 2.1368 4.7359 4.0032
```